The following is a calculated PXRD pattern of RbCrAsO4. It was derived from a cell relaxed with PBE+U, using Cu Kα, 1.54184 Å.
No peak broadening, texture or thermal motion is included.

Atomic structure:
abc: 5.620 5.870 7.548
angles: 90.00 106.95 90.00
Fractional positions:
Rb: 0.207 0.250 0.437
Rb: 0.793 0.750 0.563
Cr: 0.276 0.250 0.956
Cr: 0.724 0.750 0.044
As: 0.247 0.750 0.150
As: 0.753 0.250 0.850
O: 0.023 0.750 0.937
O: 0.056 0.750 0.294
O: 0.451 0.523 0.177
O: 0.451 0.977 0.177
O: 0.549 0.023 0.823
O: 0.549 0.477 0.823
O: 0.944 0.250 0.706
O: 0.977 0.250 0.063

The 10 most intense peaks (2θ from 15° to 90°), sorted by position:
Position (°2θ)  I/Imax  index
19.49  44  0 1 1
23.16  49  1 1 -1
23.33  65  1 0 1
29.04  100  0 1 2
29.67  64  1 1 -2
30.46  99  0 2 0
37.11  48  1 1 2
38.65  60  2 1 -2
45.77  52  2 2 0
50.33  39  2 1 2